Record 1
Nd7Se4S4: calculated X-ray diffraction stick pattern (Cu Ka), based on a PBE-relaxed structure.
Peak positions follow from Bragg's law for the DFT cell and can differ from measured ones.

Most intense lines, 5 to 70 degrees two-theta, by angle:
2theta	intensity
25.21	18
25.33	35
25.66	15
31.89	28
32.97	100
36.61	13
37.41	30
49.71	31
51.71	13
52.01	13

Cell and atoms:
```
Nd7Se4S4
1.0
-7.363 7.363 3.517
7.363 -7.363 3.517
7.363 7.363 -3.517
Nd Se S
14 8 8
direct
0.000 0.275 0.275
0.000 0.725 0.725
0.119 0.500 0.619
0.248 0.248 0.000
0.275 0.000 0.275
0.297 0.297 0.594
0.297 0.703 0.000
0.500 0.119 0.619
0.500 0.881 0.381
0.703 0.297 0.000
0.703 0.703 0.406
0.725 0.000 0.725
0.752 0.752 0.000
0.881 0.500 0.381
0.126 0.126 0.251
0.126 0.874 0.000
0.325 0.500 0.825
0.500 0.325 0.825
0.500 0.675 0.175
0.675 0.500 0.175
0.874 0.126 0.000
0.874 0.874 0.749
0.099 0.599 0.197
0.099 0.901 0.500
0.401 0.599 0.500
0.401 0.901 0.803
0.599 0.099 0.197
0.599 0.401 0.500
0.901 0.099 0.500
0.901 0.401 0.803
```

=====

Record 2
Nd6Se5S: calculated X-ray diffraction stick pattern (Cu Ka), based on a PBE-relaxed structure.
Peak positions follow from Bragg's law for the DFT cell and can differ from measured ones.

Most intense lines, 5 to 70 degrees two-theta, by angle:
2theta	intensity
25.93	21
30.03	100
32.79	1
42.98	73
50.87	7
50.92	2
53.32	25
62.41	11
68.72	2
68.79	1

Cell and atoms:
```
Nd6Se5S
1.0
3.641 -6.318 0.000
3.641 6.318 0.000
-2.425 0.000 6.875
Nd Se S
6 5 1
direct
0.079 0.395 0.736
0.237 0.237 0.261
0.395 0.079 0.736
0.605 0.921 0.264
0.763 0.763 0.739
0.921 0.605 0.264
0.172 0.828 0.000
0.334 0.666 0.500
0.500 0.500 0.000
0.666 0.334 0.500
0.828 0.172 0.000
0.000 0.000 0.500
```

=====

Record 3
Nd7Se5S: calculated X-ray diffraction stick pattern (Cu Ka), based on a PBE-relaxed structure.
Peak positions follow from Bragg's law for the DFT cell and can differ from measured ones.

Most intense lines, 5 to 70 degrees two-theta, by angle:
2theta	intensity
27.60	53
28.32	61
29.52	45
29.95	64
30.24	68
30.90	100
31.36	35
31.59	35
42.46	45
44.31	59

Cell and atoms:
```
Nd7Se5S
1.0
6.900 -2.044 0.000
6.900 2.044 0.000
-0.771 0.000 25.197
Nd Se S
14 10 2
direct
0.041 0.041 0.252
0.136 0.136 0.961
0.143 0.143 0.538
0.290 0.290 0.317
0.304 0.304 0.179
0.408 0.408 0.883
0.429 0.429 0.609
0.571 0.571 0.391
0.592 0.592 0.117
0.696 0.696 0.821
0.710 0.710 0.683
0.857 0.857 0.462
0.864 0.864 0.039
0.959 0.959 0.748
0.051 0.051 0.853
0.069 0.069 0.648
0.216 0.216 0.426
0.222 0.222 0.071
0.500 0.500 0.000
0.500 0.500 0.500
0.778 0.778 0.929
0.784 0.784 0.574
0.931 0.931 0.352
0.949 0.949 0.147
0.315 0.315 0.772
0.685 0.685 0.228
```

=====

Please write out number 2 again, unchanged.
Nd6Se5S: calculated X-ray diffraction stick pattern (Cu Ka), based on a PBE-relaxed structure.
Peak positions follow from Bragg's law for the DFT cell and can differ from measured ones.

Most intense lines, 5 to 70 degrees two-theta, by angle:
2theta	intensity
25.93	21
30.03	100
32.79	1
42.98	73
50.87	7
50.92	2
53.32	25
62.41	11
68.72	2
68.79	1

Cell and atoms:
```
Nd6Se5S
1.0
3.641 -6.318 0.000
3.641 6.318 0.000
-2.425 0.000 6.875
Nd Se S
6 5 1
direct
0.079 0.395 0.736
0.237 0.237 0.261
0.395 0.079 0.736
0.605 0.921 0.264
0.763 0.763 0.739
0.921 0.605 0.264
0.172 0.828 0.000
0.334 0.666 0.500
0.500 0.500 0.000
0.666 0.334 0.500
0.828 0.172 0.000
0.000 0.000 0.500
```